This entry pairs a crystal structure of SmHoTeO2 with its calculated powder X-ray diffraction pattern. Radiation: Cu Kα (weighted mean of Kα1 and Kα2). Structure: a crystal structure in Alexandria, relaxed with PBE.
Lines closer than 0.1° are merged.

Atomic structure:
Lattice parameters (Å, degrees): 6.871 4.113 7.836 90.00 106.94 90.00
Space group P2_1/m (No. 11)
Inequivalent atoms, fractional coordinates:
Sm 0.175 0.250 0.424 (multiplicity 2)
Ho 0.158 0.250 0.912 (multiplicity 2)
Te 0.451 0.750 0.747 (multiplicity 2)
O 0.009 0.750 0.883 (multiplicity 2)
O 0.018 0.750 0.374 (multiplicity 2)

Top 10 peaks for 10 to 90 degrees two-theta, sorted by position:
index  2theta  I_rel
1 1 0  25.5  73
2 0 -2  30.5  78
1 0 2  30.7  81
1 1 -2  32.3  100
2 1 0  34.9  70
3 0 0  41.2  26
0 2 0  44.0  35
1 0 -4  46.3  31
2 2 -2  54.5  31
1 2 2  54.6  32

This entry pairs a crystal structure of HoTa3O9 with its calculated powder X-ray diffraction pattern. Radiation: Cu Kα (weighted mean of Kα1 and Kα2). Structure: a crystal structure in Alexandria, relaxed with PBE.
Lines closer than 0.1° are merged.

Atomic structure:
Lattice parameters (Å, degrees): 5.285 7.506 8.307 90.00 92.48 90.00
Space group P2_1/m (No. 11)
Inequivalent atoms, fractional coordinates:
Ho 0.034 0.250 0.435 (multiplicity 2)
Ta 0.000 0.000 0.000 (multiplicity 2)
Ta 0.471 0.007 0.696 (multiplicity 4)
O 0.097 0.250 0.978 (multiplicity 2)
O 0.148 0.565 0.784 (multiplicity 4)
O 0.257 0.544 0.467 (multiplicity 4)
O 0.326 0.554 0.120 (multiplicity 4)
O 0.333 0.250 0.653 (multiplicity 2)
O 0.421 0.250 0.314 (multiplicity 2)

Top 10 peaks for 10 to 90 degrees two-theta, sorted by position:
index  2theta  I_rel
0 2 0  23.7  61
1 0 -2  26.7  100
1 0 2  27.9  75
1 2 0  29.2  47
1 2 -1  30.9  47
1 2 1  31.4  85
2 0 0  34.0  56
1 2 -2  36.0  36
0 2 3  40.5  37
3 2 1  59.5  39

This entry pairs a crystal structure of HoTaO4 with its calculated powder X-ray diffraction pattern. Radiation: Cu Kα (weighted mean of Kα1 and Kα2). Structure: a crystal structure in Alexandria, relaxed with PBE.
Lines closer than 0.1° are merged.

Atomic structure:
Lattice parameters (Å, degrees): 5.890 4.985 5.819 90.00 110.77 90.00
Space group P2_1/c (No. 14)
Inequivalent atoms, fractional coordinates:
Ho 0.000 0.000 0.000 (multiplicity 2)
Ta 0.500 0.000 0.500 (multiplicity 2)
O 0.176 0.162 0.380 (multiplicity 4)
O 0.377 0.713 0.682 (multiplicity 4)

Top 10 peaks for 10 to 90 degrees two-theta, sorted by position:
index  2theta  I_rel
1 1 -1  25.7  100
1 1 1  32.4  46
2 0 0  32.5  23
0 0 2  32.9  22
0 2 0  36.0  15
2 2 0  49.3  17
0 2 2  49.6  18
3 1 -1  49.9  17
1 1 -3  50.5  17
2 2 -2  52.9  16

This entry pairs a crystal structure of Ho3TaO7 with its calculated powder X-ray diffraction pattern. Radiation: Cu Kα (weighted mean of Kα1 and Kα2). Structure: a crystal structure in Alexandria, relaxed with PBE.
Lines closer than 0.1° are merged.

Atomic structure:
Lattice parameters (Å, degrees): 7.570 10.517 7.438 90.00 90.00 90.00
Space group C222_1 (No. 20)
Inequivalent atoms, fractional coordinates:
Ho 0.039 0.000 0.000 (multiplicity 4)
Ho 0.232 0.268 0.760 (multiplicity 8)
Ta 0.002 0.500 0.000 (multiplicity 4)
O 0.000 0.129 0.250 (multiplicity 4)
O 0.000 0.140 0.750 (multiplicity 4)
O 0.000 0.430 0.750 (multiplicity 4)
O 0.177 0.370 0.046 (multiplicity 8)
O 0.207 0.377 0.476 (multiplicity 8)

Top 10 peaks for 10 to 90 degrees two-theta, sorted by position:
index  2theta  I_rel
2 2 0  29.1  100
0 2 2  29.4  100
2 0 2  33.8  48
0 4 0  34.1  23
4 0 0  48.1  12
2 4 2  48.8  54
0 0 4  49.0  16
4 2 2  57.4  22
2 2 4  58.0  40
0 6 2  58.2  13

This entry pairs a crystal structure of Ho4Ta6O19 with its calculated powder X-ray diffraction pattern. Radiation: Cu Kα (weighted mean of Kα1 and Kα2). Structure: a crystal structure in Alexandria, relaxed with PBE.
Lines closer than 0.1° are merged.

Atomic structure:
Lattice parameters (Å, degrees): 9.093 9.093 9.093 90.00 90.00 90.00
Space group I23 (No. 197)
Inequivalent atoms, fractional coordinates:
Ho 0.143 0.143 0.143 (multiplicity 8)
Ta 0.000 0.154 0.500 (multiplicity 12)
O 0.000 0.000 0.000 (multiplicity 2)
O 0.000 0.000 0.328 (multiplicity 12)
O 0.044 0.287 0.321 (multiplicity 24)

Top 10 peaks for 10 to 90 degrees two-theta, sorted by position:
index  2theta  I_rel
2 0 0  19.5  23
2 1 1  24.0  45
3 0 1  31.1  100
2 2 2  34.2  19
3 1 2  37.0  60
4 2 2  49.1  16
4 3 1  51.2  59
5 1 2  55.3  18
6 0 0  61.2  26
6 1 3  70.2  16

This entry pairs a crystal structure of HoTa3O9 with its calculated powder X-ray diffraction pattern. Radiation: Cu Kα (weighted mean of Kα1 and Kα2). Structure: a crystal structure in Alexandria, relaxed with PBE.
Lines closer than 0.1° are merged.

Atomic structure:
Lattice parameters (Å, degrees): 6.450 7.629 12.582 90.00 90.00 90.00
Space group Pnma (No. 62)
Inequivalent atoms, fractional coordinates:
Ho 0.059 0.250 0.035 (multiplicity 4)
Ta 0.000 0.000 0.500 (multiplicity 4)
Ta 0.198 0.002 0.788 (multiplicity 8)
O 0.011 0.046 0.657 (multiplicity 8)
O 0.075 0.750 0.528 (multiplicity 4)
O 0.110 0.040 0.169 (multiplicity 8)
O 0.155 0.250 0.833 (multiplicity 4)
O 0.199 0.750 0.809 (multiplicity 4)
O 0.203 0.532 0.965 (multiplicity 8)

Top 10 peaks for 10 to 90 degrees two-theta, sorted by position:
index  2theta  I_rel
0 2 0  23.3  65
0 2 2  27.3  40
1 2 1  28.1  79
0 0 4  28.4  54
2 0 2  31.2  100
1 0 4  31.6  34
1 2 3  34.7  62
0 4 0  47.7  36
2 4 2  58.1  37
3 2 5  61.8  33

This entry pairs a crystal structure of Ho5Ta2O12 with its calculated powder X-ray diffraction pattern. Radiation: Cu Kα (weighted mean of Kα1 and Kα2). Structure: a crystal structure in Alexandria, relaxed with PBE.
Lines closer than 0.1° are merged.

Atomic structure:
Lattice parameters (Å, degrees): 12.379 5.873 7.400 90.00 107.47 90.00
Space group C2/m (No. 12)
Inequivalent atoms, fractional coordinates:
Ho 0.000 0.000 0.000 (multiplicity 2)
Ho 0.191 0.500 0.324 (multiplicity 4)
Ho 0.199 0.500 0.863 (multiplicity 4)
Ta 0.000 0.242 0.500 (multiplicity 4)
O 0.001 0.000 0.305 (multiplicity 4)
O 0.001 0.500 0.304 (multiplicity 4)
O 0.154 0.251 0.073 (multiplicity 8)
O 0.166 0.266 0.586 (multiplicity 8)

Top 10 peaks for 10 to 90 degrees two-theta, sorted by position:
index  2theta  I_rel
3 1 0  27.3  95
1 1 -2  28.5  100
4 0 0  30.3  26
0 2 1  33.0  32
2 0 2  33.2  79
2 2 0  34.1  31
2 2 -2  39.9  23
2 0 -4  49.3  26
4 2 2  55.8  29
8 0 -2  60.3  23

This entry pairs a crystal structure of Ho3TaO7 with its calculated powder X-ray diffraction pattern. Radiation: Cu Kα (weighted mean of Kα1 and Kα2). Structure: a crystal structure in Alexandria, relaxed with PBE.
Lines closer than 0.1° are merged.

Atomic structure:
Lattice parameters (Å, degrees): 8.021 5.569 7.560 90.00 117.48 90.00
Space group Pc (No. 7)
Inequivalent atoms, fractional coordinates:
Ho 0.000 0.005 0.000 (multiplicity 2)
Ho 0.210 0.474 0.782 (multiplicity 2)
Ho 0.455 0.037 0.580 (multiplicity 2)
Ta 0.669 0.476 0.399 (multiplicity 2)
O 0.118 0.120 0.812 (multiplicity 2)
O 0.205 0.286 0.514 (multiplicity 2)
O 0.402 0.257 0.259 (multiplicity 2)
O 0.501 0.258 0.889 (multiplicity 2)
O 0.654 0.364 0.650 (multiplicity 2)
O 0.739 0.166 0.330 (multiplicity 2)
O 0.916 0.389 0.053 (multiplicity 2)

Top 10 peaks for 10 to 90 degrees two-theta, sorted by position:
index  2theta  I_rel
2 0 -2  26.8  21
1 1 -2  28.5  55
2 1 0  29.8  100
0 1 2  31.1  52
0 2 0  32.1  38
3 0 -2  34.8  19
2 0 2  44.9  17
3 2 -2  48.1  25
3 1 -4  52.9  25
4 1 2  72.7  20